This entry pairs a crystal structure of B7C5 with its calculated powder XRD pattern. Radiation: CuKα. Structure: a crystal structure in Alexandria, relaxed with PBE.
Lines closer than 0.1° are merged.

Peak list (10 most intense, 5° ≤ 2θ ≤ 70°, sorted by position)
hkl 2 0 0, 15.59°, 5.684 Å, intensity 441
hkl 2 0 -1, 18.91°, 4.693 Å, intensity 443
hkl 4 0 -2, 38.36°, 2.346 Å, intensity 656
hkl 1 1 1, 40.79°, 2.212 Å, intensity 53
hkl 3 1 0, 42.23°, 2.140 Å, intensity 1000
hkl 2 0 2, 42.60°, 2.122 Å, intensity 374
hkl 6 0 -3, 59.05°, 1.564 Å, intensity 55
hkl 3 1 2, 60.86°, 1.522 Å, intensity 97
hkl 7 1 -2, 67.49°, 1.388 Å, intensity 316
hkl 2 0 -4, 68.18°, 1.375 Å, intensity 85

Atomic structure:
abc: 12.041 2.593 5.532
angles: 90.00 109.25 90.00
Space group Cm (No. 8)
One atom of each set of equivalent atoms:
B (0.000, 0.000, 0.000) [2 per cell]
B (0.015, 0.000, 0.436) [2 per cell]
B (0.112, 0.000, 0.742) [2 per cell]
B (0.217, 0.500, 0.842) [2 per cell]
B (0.283, 0.500, 0.184) [2 per cell]
B (0.330, 0.000, 0.036) [2 per cell]
B (0.399, 0.000, 0.388) [2 per cell]
C (0.107, 0.000, 0.255) [2 per cell]
C (0.182, 0.500, 0.318) [2 per cell]
C (0.267, 0.500, 0.592) [2 per cell]
C (0.344, 0.000, 0.620) [2 per cell]
C (0.427, 0.000, 0.897) [2 per cell]